Li2NiGe3O8: simulated powder X-ray diffraction pattern (Cu Kα X-rays), based on DFT lattice parameters and positions (PBE+U).
Peak positions follow from Bragg's law for the DFT cell and can differ from measured ones.

Peak list (10 most intense, 10° ≤ 2θ ≤ 90°, by angle)
2θ/deg	d [Å]	I/Imax
18.5	4.794	100
35.9	2.504	51
37.5	2.397	19
43.6	2.076	52
47.7	1.905	14
57.7	1.598	21
63.4	1.468	32
66.6	1.404	16
76.0	1.252	11
80.1	1.199	9

Cell and atoms:
a = 8.3040 Å, b = 8.3040 Å, c = 8.3040 Å
α = 90.00°, β = 90.00°, γ = 90.00°
Space group P4_332 (No. 212)
Symmetry-distinct sites (fractional):
Li (0.0032, 0.0032, 0.0032) [8 per cell]
Ni (0.1250, 0.8750, 0.3750) [4 per cell]
Ge (0.1226, 0.1274, 0.6250) [12 per cell]
O (0.1005, 0.1262, 0.3933) [24 per cell]
O (0.1159, 0.6159, 0.8841) [8 per cell]